Record 1
For CaEuYSbO6, a structure optimized by DFT (PBE) gives the calculated PXRD pattern in this record (Cu Kα X-rays).

Most intense lines, 10° ≤ 2θ ≤ 80°, by angle:
2θ 18.39, 4.824 Å, rel. 21; 2θ 21.27, 4.177 Å, rel. 3; 2θ 30.26, 2.954 Å, rel. 100; 2θ 35.64, 2.519 Å, rel. 12; 2θ 43.32, 2.089 Å, rel. 33; 2θ 47.43, 1.917 Å, rel. 5; 2θ 53.75, 1.705 Å, rel. 39; 2θ 57.30, 1.608 Å, rel. 4; 2θ 62.93, 1.477 Å, rel. 20; 2θ 66.17, 1.412 Å, rel. 4; 2θ 71.41, 1.321 Å, rel. 17; 2θ 79.48, 1.206 Å, rel. 6

Structural model:
```
CaEuYSbO6
1.0
0.0000 4.1773 4.1773
4.1773 0.0000 4.1773
4.1773 4.1773 0.0000
Ca Eu Y Sb O
1 1 1 1 6
direct
0.0000 0.0000 0.0000
0.5000 0.5000 0.5000
0.7500 0.7500 0.7500
0.2500 0.2500 0.2500
0.0126 0.0126 0.4874
0.0126 0.4874 0.0126
0.0126 0.4874 0.4874
0.4874 0.0126 0.0126
0.4874 0.0126 0.4874
0.4874 0.4874 0.0126
```

Record 2
For PmGa4Ni2, a structure optimized by DFT (PBE) gives the calculated PXRD pattern in this record (Cu Kα X-rays).

Most intense lines, 10° ≤ 2θ ≤ 80°, by angle:
2θ 34.94, 2.568 Å, rel. 12; 2θ 36.72, 2.447 Å, rel. 100; 2θ 38.27, 2.352 Å, rel. 20; 2θ 39.59, 2.276 Å, rel. 19; 2θ 43.08, 2.100 Å, rel. 27; 2θ 45.16, 2.008 Å, rel. 9; 2θ 47.90, 1.899 Å, rel. 8; 2θ 57.23, 1.610 Å, rel. 7; 2θ 59.94, 1.543 Å, rel. 11; 2θ 64.17, 1.451 Å, rel. 7; 2θ 69.96, 1.345 Å, rel. 17; 2θ 74.80, 1.269 Å, rel. 12

Structural model:
```
PmGa4Ni2
1.0
17.0342 0.0000 0.0000
0.0000 4.1992 0.0000
0.0000 0.0000 6.4389
Pm Ga Ni
4 16 8
direct
0.1376 0.2500 0.0132
0.3624 0.7500 0.5132
0.6376 0.2500 0.4868
0.8624 0.7500 0.9868
0.0339 0.7500 0.8239
0.0752 0.2500 0.5005
0.1843 0.7500 0.3251
0.1961 0.7500 0.7259
0.3039 0.2500 0.2259
0.3157 0.2500 0.8251
0.4248 0.7500 0.0005
0.4661 0.2500 0.3239
0.5339 0.7500 0.6761
0.5752 0.2500 0.9995
0.6843 0.7500 0.1749
0.6961 0.7500 0.7741
0.8039 0.2500 0.2741
0.8157 0.2500 0.6749
0.9248 0.7500 0.4995
0.9661 0.2500 0.1761
0.0370 0.7500 0.2557
0.2179 0.2500 0.5295
0.2821 0.7500 0.0295
0.4630 0.2500 0.7557
0.5370 0.7500 0.2443
0.7179 0.2500 0.9705
0.7821 0.7500 0.4705
0.9630 0.2500 0.7443
```